Na3FeB2O6: computed XRD peak list (CuKα), based on a structure optimized by DFT (GGA+U).
Neutral-atom scattering factors, no anomalous dispersion.

a = 5.164 Å, b = 5.164 Å, c = 6.039 Å
α = 90.00°, β = 90.00°, γ = 120.00°
Atoms (fractional coordinates):
Na (0.000, 0.000, 0.000)
Na (0.333, 0.667, 0.739)
Na (0.667, 0.333, 0.261)
Fe (0.000, 0.000, 0.500)
B (0.333, 0.667, 0.291)
B (0.667, 0.333, 0.709)
O (0.179, 0.357, 0.289)
O (0.179, 0.821, 0.289)
O (0.357, 0.179, 0.711)
O (0.643, 0.821, 0.289)
O (0.821, 0.179, 0.711)
O (0.821, 0.643, 0.711)

Peak list (8 most intense, 10 to 80 degrees two-theta, by intensity)
35.88 deg, I = 100; 50.80 deg, I = 71; 19.85 deg, I = 66; 14.67 deg, I = 65; 34.74 deg, I = 63; 43.14 deg, I = 58; 24.77 deg, I = 26; 63.02 deg, I = 23